No. 1
This entry pairs a crystal structure of DyPaPt3 with its theoretical powder diffractogram. Radiation: Cu Kα (λ = 1.5418 Å). Structure: the PBE geometry in Alexandria.
Lines closer than 0.1° are merged.

```
data_DyPaPt3
_chemical_formula_sum 'Dy2 Pa2 Pt6'
_space_group_name_H-M_alt 'P m m n'
_space_group_IT_number 59
_cell_length_a 4.2222
_cell_length_b 5.6686
_cell_length_c 8.9700
_cell_angle_alpha 90.00
_cell_angle_beta 90.00
_cell_angle_gamma 90.00
loop_
_space_group_symop_operation_xyz
'x,y,z'
'-x,-y,-z'
'-x+1/2,-y+1/2,z'
'x+1/2,y+1/2,-z'
'x+1/2,-y,-z'
'-x+1/2,y,z'
'-x,y+1/2,-z'
'x,-y+1/2,z'
loop_
_atom_site_label
_atom_site_type_symbol
_atom_site_fract_x
_atom_site_fract_y
_atom_site_fract_z
_atom_site_occupancy
Dy1 Dy 0.2500 0.2500 0.0558 1
Pa1 Pa 0.2500 0.7500 0.3911 1
Pt1 Pt 0.2500 0.2500 0.3890 1
Pt2 Pt 0.2500 0.5022 0.7748 1
```

The 6 most intense peaks (2θ from 10° to 90°), sorted by position:
29.05°, rel. 42
36.83°, rel. 89
37.54°, rel. 38
39.59°, rel. 100
42.84°, rel. 38
58.25°, rel. 22

No. 2
This entry pairs a crystal structure of Dy2PaPt9 with its theoretical powder diffractogram. Radiation: Cu Kα (λ = 1.5418 Å). Structure: the PBE geometry in Alexandria.
Lines closer than 0.1° are merged.

```
data_Dy2PaPt9
_chemical_formula_sum 'Dy2 Pa1 Pt9'
_space_group_name_H-M_alt 'P 4/m m m'
_space_group_IT_number 123
_space_group_name_Hall '-P 4 2'
_cell_length_a 4.1432
_cell_length_b 4.1432
_cell_length_c 12.3821
_cell_angle_alpha 90.00
_cell_angle_beta 90.00
_cell_angle_gamma 90.00
loop_
_atom_site_label
_atom_site_type_symbol
_atom_site_fract_x
_atom_site_fract_y
_atom_site_fract_z
_atom_site_occupancy
Dy1 Dy 0.0000 0.0000 0.1623 1
Pa1 Pa 0.0000 0.0000 0.5000 1
Pt1 Pt 0.0000 0.5000 0.0000 1
Pt2 Pt 0.0000 0.5000 0.3361 1
Pt3 Pt 0.5000 0.5000 0.1673 1
Pt4 Pt 0.5000 0.5000 0.5000 1
```

The 6 most intense peaks (2θ from 10° to 90°), sorted by position:
37.65°, rel. 100
43.69°, rel. 33
43.87°, rel. 16
63.64°, rel. 22
76.24°, rel. 26
76.49°, rel. 13

No. 3
This entry pairs a crystal structure of RbDyPaSe4 with its theoretical powder diffractogram. Radiation: Cu Kα (λ = 1.5418 Å). Structure: the PBE geometry in Alexandria.
Lines closer than 0.1° are merged.

```
data_RbDyPaSe4
_chemical_formula_sum 'Rb4 Dy4 Pa4 Se16'
_space_group_name_H-M_alt 'I m m a'
_space_group_IT_number 74
_space_group_name_Hall '-I 2b 2'
_cell_length_a 8.8854
_cell_length_b 9.0087
_cell_length_c 12.3414
_cell_angle_alpha 90.00
_cell_angle_beta 90.00
_cell_angle_gamma 90.00
loop_
_atom_site_label
_atom_site_type_symbol
_atom_site_fract_x
_atom_site_fract_y
_atom_site_fract_z
_atom_site_occupancy
Rb1 Rb 0.0000 0.2500 0.1304 1
Dy1 Dy 0.2500 0.2500 0.7500 1
Pa1 Pa 0.0000 0.0000 0.5000 1
Se1 Se 0.0000 0.0438 0.7305 1
Se2 Se 0.2060 0.2500 0.5155 1
```

The 6 most intense peaks (2θ from 10° to 90°), sorted by position:
12.27°, rel. 92
23.28°, rel. 56
23.81°, rel. 48
28.21°, rel. 86
37.05°, rel. 45
40.86°, rel. 100

No. 4
This entry pairs a crystal structure of DyPaRh3 with its theoretical powder diffractogram. Radiation: Cu Kα (λ = 1.5418 Å). Structure: the PBE geometry in Alexandria.
Lines closer than 0.1° are merged.

```
data_DyPaRh3
_chemical_formula_sum 'Dy2 Pa2 Rh6'
_space_group_name_H-M_alt 'P 1 21/m 1'
_space_group_IT_number 11
_cell_length_a 4.1270
_cell_length_b 5.6744
_cell_length_c 8.8196
_cell_angle_alpha 90.00
_cell_angle_beta 103.46
_cell_angle_gamma 90.00
loop_
_space_group_symop_operation_xyz
'x,y,z'
'-x,-y,-z'
'-x,y+1/2,-z'
'x,-y+1/2,z'
loop_
_atom_site_label
_atom_site_type_symbol
_atom_site_fract_x
_atom_site_fract_y
_atom_site_fract_z
_atom_site_occupancy
Dy1 Dy 0.1846 0.2500 0.3706 1
Pa1 Pa 0.4120 0.2500 0.8248 1
Rh1 Rh 0.0000 0.0000 0.0000 1
Rh2 Rh 0.1959 0.7500 0.3882 1
Rh3 Rh 0.4306 0.7500 0.8604 1
```

The 6 most intense peaks (2θ from 10° to 90°), sorted by position:
31.53°, rel. 38
33.98°, rel. 100
38.88°, rel. 31
41.74°, rel. 37
43.88°, rel. 31
47.03°, rel. 35

No. 5
This entry pairs a crystal structure of DyPa2Ru4 with its theoretical powder diffractogram. Radiation: Cu Kα (λ = 1.5418 Å). Structure: the PBE geometry in Alexandria.
Lines closer than 0.1° are merged.

```
data_DyPa2Ru4
_chemical_formula_sum 'Dy4 Pa8 Ru16'
_space_group_name_H-M_alt 'C 1 2 1'
_space_group_IT_number 5
_cell_length_a 9.3002
_cell_length_b 9.7168
_cell_length_c 7.4250
_cell_angle_alpha 90.00
_cell_angle_beta 118.40
_cell_angle_gamma 90.00
loop_
_space_group_symop_operation_xyz
'x,y,z'
'-x,y,-z'
'x+1/2,y+1/2,z'
'-x+1/2,y+1/2,-z'
loop_
_atom_site_label
_atom_site_type_symbol
_atom_site_fract_x
_atom_site_fract_y
_atom_site_fract_z
_atom_site_occupancy
Dy1 Dy 0.0000 0.0000 0.0000 1
Dy2 Dy 0.0000 0.1154 0.5000 1
Pa1 Pa 0.0033 0.5578 0.2517 1
Pa2 Pa 0.2493 0.8064 0.7511 1
Ru1 Ru 0.0491 0.2809 0.8529 1
Ru2 Ru 0.0509 0.8351 0.3543 1
Ru3 Ru 0.1708 0.4287 0.6259 1
Ru4 Ru 0.1714 0.6883 0.1246 1
```

The 6 most intense peaks (2θ from 10° to 90°), sorted by position:
28.53°, rel. 67
30.43°, rel. 100
35.33°, rel. 55
36.89°, rel. 48
38.52°, rel. 48
39.32°, rel. 39

No. 6
This entry pairs a crystal structure of Dy2PaS6 with its theoretical powder diffractogram. Radiation: Cu Kα (λ = 1.5418 Å). Structure: the PBE geometry in Alexandria.
Lines closer than 0.1° are merged.

```
data_Dy2PaS6
_chemical_formula_sum 'Dy4 Pa2 S12'
_space_group_name_H-M_alt 'P 42/m n m'
_space_group_IT_number 136
_space_group_name_Hall '-P 4n 2n'
_cell_length_a 6.3535
_cell_length_b 6.3535
_cell_length_c 12.2056
_cell_angle_alpha 90.00
_cell_angle_beta 90.00
_cell_angle_gamma 90.00
loop_
_atom_site_label
_atom_site_type_symbol
_atom_site_fract_x
_atom_site_fract_y
_atom_site_fract_z
_atom_site_occupancy
Dy1 Dy 0.0000 0.0000 0.1666 1
Pa1 Pa 0.0000 0.0000 0.5000 1
S1 S 0.1949 0.1949 0.3385 1
S2 S 0.2046 0.2046 0.0000 1
```

The 6 most intense peaks (2θ from 10° to 90°), sorted by position:
19.76°, rel. 100
26.01°, rel. 73
28.09°, rel. 19
38.65°, rel. 81
40.14°, rel. 23
48.46°, rel. 29

No. 7
This entry pairs a crystal structure of DyPaS3 with its theoretical powder diffractogram. Radiation: Cu Kα (λ = 1.5418 Å). Structure: the PBE geometry in Alexandria.
Lines closer than 0.1° are merged.

```
data_DyPaS3
_chemical_formula_sum 'Dy4 Pa4 S12'
_space_group_name_H-M_alt 'P n m a'
_space_group_IT_number 62
_cell_length_a 7.3479
_cell_length_b 3.8730
_cell_length_c 14.9132
_cell_angle_alpha 90.00
_cell_angle_beta 90.00
_cell_angle_gamma 90.00
loop_
_space_group_symop_operation_xyz
'x,y,z'
'-x,-y,-z'
'-x+1/2,-y,z+1/2'
'x+1/2,y,-z+1/2'
'x+1/2,-y+1/2,-z+1/2'
'-x+1/2,y+1/2,z+1/2'
'-x,y+1/2,-z'
'x,-y+1/2,z'
loop_
_atom_site_label
_atom_site_type_symbol
_atom_site_fract_x
_atom_site_fract_y
_atom_site_fract_z
_atom_site_occupancy
Dy1 Dy 0.2409 0.2500 0.0440 1
Pa1 Pa 0.1230 0.7500 0.2889 1
S1 S 0.0063 0.7500 0.1075 1
S2 S 0.1238 0.2500 0.4294 1
S3 S 0.1519 0.7500 0.7241 1
```

The 6 most intense peaks (2θ from 10° to 90°), sorted by position:
24.96°, rel. 77
26.70°, rel. 92
26.81°, rel. 82
29.23°, rel. 81
35.77°, rel. 100
50.47°, rel. 48

No. 8
This entry pairs a crystal structure of DyPa6S8 with its theoretical powder diffractogram. Radiation: Cu Kα (λ = 1.5418 Å). Structure: the PBE geometry in Alexandria.
Lines closer than 0.1° are merged.

```
data_DyPa6S8
_chemical_formula_sum 'Dy3 Pa18 S24'
_space_group_name_H-M_alt 'R -3'
_space_group_IT_number 148
_space_group_name_Hall '-R 3'
_cell_length_a 9.9973
_cell_length_b 9.9973
_cell_length_c 12.6161
_cell_angle_alpha 90.00
_cell_angle_beta 90.00
_cell_angle_gamma 120.00
loop_
_atom_site_label
_atom_site_type_symbol
_atom_site_fract_x
_atom_site_fract_y
_atom_site_fract_z
_atom_site_occupancy
Dy1 Dy 0.0000 0.0000 0.0000 1
Pa1 Pa 0.0283 0.8319 0.3881 1
S1 S 0.0000 0.0000 0.2233 1
S2 S 0.0208 0.4020 0.7513 1
```

The 6 most intense peaks (2θ from 10° to 90°), sorted by position:
12.40°, rel. 100
28.17°, rel. 49
30.78°, rel. 89
38.15°, rel. 58
39.69°, rel. 44
42.05°, rel. 49

No. 9
This entry pairs a crystal structure of Dy2Pa2S7 with its theoretical powder diffractogram. Radiation: Cu Kα (λ = 1.5418 Å). Structure: the PBE geometry in Alexandria.
Lines closer than 0.1° are merged.

```
data_Dy2Pa2S7
_chemical_formula_sum 'Dy2 Pa2 S7'
_space_group_name_H-M_alt 'P -4 m 2'
_space_group_IT_number 115
_cell_length_a 4.5987
_cell_length_b 4.5987
_cell_length_c 12.9748
_cell_angle_alpha 90.00
_cell_angle_beta 90.00
_cell_angle_gamma 90.00
loop_
_space_group_symop_operation_xyz
'x,y,z'
'y,-x,-z'
'-x,-y,z'
'-y,x,-z'
'-x,y,z'
'-y,-x,-z'
'x,-y,z'
'y,x,-z'
loop_
_atom_site_label
_atom_site_type_symbol
_atom_site_fract_x
_atom_site_fract_y
_atom_site_fract_z
_atom_site_occupancy
Dy1 Dy 0.0000 0.5000 0.1380 1
Pa1 Pa 0.0000 0.5000 0.6250 1
S1 S 0.0000 0.0000 0.2372 1
S2 S 0.0000 0.0000 0.5000 1
S3 S 0.5000 0.5000 0.0000 1
S4 S 0.5000 0.5000 0.2571 1
S5 S 0.5000 0.5000 0.5000 1
```

The 6 most intense peaks (2θ from 10° to 90°), sorted by position:
23.72°, rel. 100
27.45°, rel. 24
39.21°, rel. 67
46.34°, rel. 50
62.28°, rel. 20
71.04°, rel. 15

No. 10
This entry pairs a crystal structure of Dy2Pa2Se2S5 with its theoretical powder diffractogram. Radiation: Cu Kα (λ = 1.5418 Å). Structure: the PBE geometry in Alexandria.
Lines closer than 0.1° are merged.

```
data_Dy2Pa2Se2S5
_chemical_formula_sum 'Dy4 Pa4 Se4 S10'
_space_group_name_H-M_alt 'I 4/m m m'
_space_group_IT_number 139
_space_group_name_Hall '-I 4 2'
_cell_length_a 5.3092
_cell_length_b 5.3092
_cell_length_c 23.5686
_cell_angle_alpha 90.00
_cell_angle_beta 90.00
_cell_angle_gamma 90.00
loop_
_atom_site_label
_atom_site_type_symbol
_atom_site_fract_x
_atom_site_fract_y
_atom_site_fract_z
_atom_site_occupancy
Dy1 Dy 0.0000 0.0000 0.1598 1
Pa1 Pa 0.0000 0.0000 0.3895 1
Se1 Se 0.0000 0.0000 0.2748 1
S1 S 0.0000 0.0000 0.5000 1
S2 S 0.0000 0.5000 0.1183 1
```

The 6 most intense peaks (2θ from 10° to 90°), sorted by position:
15.04°, rel. 76
23.70°, rel. 100
25.27°, rel. 35
33.76°, rel. 72
38.33°, rel. 75
51.99°, rel. 63

No. 11
This entry pairs a crystal structure of Dy2Pa2Te2S5 with its theoretical powder diffractogram. Radiation: Cu Kα (λ = 1.5418 Å). Structure: the PBE geometry in Alexandria.
Lines closer than 0.1° are merged.

```
data_Dy2Pa2Te2S5
_chemical_formula_sum 'Dy4 Pa4 Te4 S10'
_space_group_name_H-M_alt 'I 4/m m m'
_space_group_IT_number 139
_space_group_name_Hall '-I 4 2'
_cell_length_a 5.2570
_cell_length_b 5.2570
_cell_length_c 24.9617
_cell_angle_alpha 90.00
_cell_angle_beta 90.00
_cell_angle_gamma 90.00
loop_
_atom_site_label
_atom_site_type_symbol
_atom_site_fract_x
_atom_site_fract_y
_atom_site_fract_z
_atom_site_occupancy
Dy1 Dy 0.0000 0.0000 0.1574 1
Pa1 Pa 0.0000 0.0000 0.3958 1
Te1 Te 0.0000 0.0000 0.2775 1
S1 S 0.0000 0.0000 0.5000 1
S2 S 0.0000 0.5000 0.1139 1
```

The 6 most intense peaks (2θ from 10° to 90°), sorted by position:
14.19°, rel. 54
23.94°, rel. 100
30.29°, rel. 35
34.11°, rel. 68
36.63°, rel. 76
50.92°, rel. 60

No. 12
This entry pairs a crystal structure of Dy2PaSb3 with its theoretical powder diffractogram. Radiation: Cu Kα (λ = 1.5418 Å). Structure: the PBE geometry in Alexandria.
Lines closer than 0.1° are merged.

```
data_Dy2PaSb3
_chemical_formula_sum 'Dy8 Pa4 Sb12'
_space_group_name_H-M_alt 'P 1 21/c 1'
_space_group_IT_number 14
_cell_length_a 6.1942
_cell_length_b 13.1182
_cell_length_c 8.7542
_cell_angle_alpha 90.00
_cell_angle_beta 90.01
_cell_angle_gamma 90.00
loop_
_space_group_symop_operation_xyz
'x,y,z'
'-x,-y,-z'
'-x,y+1/2,-z+1/2'
'x,-y+1/2,z+1/2'
loop_
_atom_site_label
_atom_site_type_symbol
_atom_site_fract_x
_atom_site_fract_y
_atom_site_fract_z
_atom_site_occupancy
Dy1 Dy 0.2490 0.2494 0.3759 1
Dy2 Dy 0.2504 0.5834 0.8765 1
Pa1 Pa 0.2506 0.5830 0.3759 1
Sb1 Sb 0.2494 0.0837 0.1266 1
Sb2 Sb 0.2496 0.0823 0.6269 1
Sb3 Sb 0.2510 0.7497 0.1256 1
```

The 6 most intense peaks (2θ from 10° to 90°), sorted by position:
28.85°, rel. 100
41.26°, rel. 77
51.12°, rel. 27
59.76°, rel. 13
67.69°, rel. 29
75.20°, rel. 22